Zr2GeS2: computed X-ray diffraction stick pattern (Cu Kα (λ = 1.5418 Å)), based on a structure optimized by DFT (PBE).

Crystal structure
```
data_Zr2GeS2
_symmetry_space_group_name_H-M 'P 1'
_symmetry_Int_Tables_number 1
_symmetry_space_group_name_Hall 'P 1'
_cell_length_a 7.4213
_cell_length_b 7.4213
_cell_length_c 3.3172
_cell_angle_alpha 90.00
_cell_angle_beta 90.00
_cell_angle_gamma 90.00
loop_
_atom_site_label
_atom_site_fract_x
_atom_site_fract_y
_atom_site_fract_z
_atom_site_occupancy
Zr1 0.1536 0.3464 0.0000 1
Zr2 0.3464 0.8464 0.0000 1
Zr3 0.6536 0.1536 0.0000 1
Zr4 0.8464 0.6536 0.0000 1
Ge1 0.0000 0.0000 0.0000 1
Ge2 0.5000 0.5000 0.0000 1
S1 0.1347 0.6347 0.5000 1
S2 0.3653 0.1347 0.5000 1
S3 0.6347 0.8653 0.5000 1
S4 0.8653 0.3653 0.5000 1
```

The 10 most intense peaks (10° ≤ 2θ ≤ 80°), by angle:
3.318 Å, I = 39
2.624 Å, I = 6
2.346 Å, I = 100
1.916 Å, I = 19
1.749 Å, I = 7
1.659 Å, I = 12
1.582 Å, I = 6
1.484 Å, I = 9
1.354 Å, I = 13
1.273 Å, I = 12

=====

Ge3Sb2: computed X-ray diffraction stick pattern (Cu Kα (λ = 1.5418 Å)), based on a structure optimized by DFT (PBE).

Crystal structure
```
data_Ge3Sb2
_symmetry_space_group_name_H-M 'P 1'
_symmetry_Int_Tables_number 1
_symmetry_space_group_name_Hall 'P 1'
_cell_length_a 6.9254
_cell_length_b 6.9254
_cell_length_c 6.9254
_cell_angle_alpha 65.34
_cell_angle_beta 65.34
_cell_angle_gamma 65.34
loop_
_atom_site_label
_atom_site_fract_x
_atom_site_fract_y
_atom_site_fract_z
_atom_site_occupancy
Ge1 0.0086 0.2500 0.4914 1
Ge2 0.2500 0.4914 0.0086 1
Ge3 0.4914 0.0086 0.2500 1
Ge4 0.5086 0.9914 0.7500 1
Ge5 0.7500 0.5086 0.9914 1
Ge6 0.9914 0.7500 0.5086 1
Sb1 0.1100 0.1100 0.1100 1
Sb2 0.3900 0.3900 0.3900 1
Sb3 0.6100 0.6100 0.6100 1
Sb4 0.8900 0.8900 0.8900 1
```

The 10 most intense peaks (10° ≤ 2θ ≤ 80°), by angle:
3.738 Å, I = 79
3.441 Å, I = 42
3.076 Å, I = 64
2.708 Å, I = 47
2.532 Å, I = 82
2.420 Å, I = 40
2.158 Å, I = 49
2.096 Å, I = 100
1.938 Å, I = 28
1.413 Å, I = 33

=====

Sc6GeSb2Se3: computed X-ray diffraction stick pattern (Cu Kα (λ = 1.5418 Å)), based on a structure optimized by DFT (PBE).

Crystal structure
```
data_Sc6GeSb2Se3
_symmetry_space_group_name_H-M 'P 1'
_symmetry_Int_Tables_number 1
_symmetry_space_group_name_Hall 'P 1'
_cell_length_a 8.9312
_cell_length_b 8.9312
_cell_length_c 7.9996
_cell_angle_alpha 103.07
_cell_angle_beta 103.07
_cell_angle_gamma 25.68
loop_
_atom_site_label
_atom_site_fract_x
_atom_site_fract_y
_atom_site_fract_z
_atom_site_occupancy
Sc1 0.0025 0.0025 0.2656 1
Sc2 0.3392 0.3392 0.9080 1
Sc3 0.3409 0.3409 0.4289 1
Sc4 0.6591 0.6591 0.5711 1
Sc5 0.6608 0.6608 0.0920 1
Sc6 0.9975 0.9975 0.7344 1
Ge1 0.5000 0.5000 0.5000 1
Sb1 0.1679 0.1679 0.8357 1
Sb2 0.8321 0.8321 0.1643 1
Se1 0.1684 0.1684 0.3358 1
Se2 0.5000 0.5000 0.0000 1
Se3 0.8316 0.8316 0.6642 1
```

The 10 most intense peaks (10° ≤ 2θ ≤ 80°), by angle:
3.264 Å, I = 12
3.248 Å, I = 12
2.820 Å, I = 100
1.997 Å, I = 35
1.993 Å, I = 23
1.985 Å, I = 12
1.624 Å, I = 12
1.409 Å, I = 7
1.263 Å, I = 10
1.261 Å, I = 10

=====

Sm5Ge2Sb2: computed X-ray diffraction stick pattern (Cu Kα (λ = 1.5418 Å)), based on a structure optimized by DFT (PBE).

Crystal structure
```
data_Sm5Ge2Sb2
_symmetry_space_group_name_H-M 'P 1'
_symmetry_Int_Tables_number 1
_symmetry_space_group_name_Hall 'P 1'
_cell_length_a 8.7388
_cell_length_b 8.7388
_cell_length_c 8.1140
_cell_angle_alpha 90.00
_cell_angle_beta 90.00
_cell_angle_gamma 55.11
loop_
_atom_site_label
_atom_site_fract_x
_atom_site_fract_y
_atom_site_fract_z
_atom_site_occupancy
Sm1 0.0000 0.0000 0.0000 1
Sm2 0.0389 0.7035 0.6659 1
Sm3 0.2035 0.5389 0.1659 1
Sm4 0.2965 0.9611 0.6659 1
Sm5 0.4611 0.7965 0.1659 1
Sm6 0.5000 0.5000 0.5000 1
Sm7 0.5389 0.2035 0.8341 1
Sm8 0.7035 0.0389 0.3341 1
Sm9 0.7965 0.4611 0.8341 1
Sm10 0.9611 0.2965 0.3341 1
Ge1 0.1343 0.8657 0.3665 1
Ge2 0.3657 0.6343 0.8665 1
Ge3 0.6343 0.3657 0.1335 1
Ge4 0.8657 0.1343 0.6335 1
Sb1 0.2050 0.2050 0.0000 1
Sb2 0.2950 0.2950 0.5000 1
Sb3 0.7050 0.7050 0.5000 1
Sb4 0.7950 0.7950 0.0000 1
```

The 10 most intense peaks (10° ≤ 2θ ≤ 80°), by angle:
3.618 Å, I = 38
2.968 Å, I = 85
2.863 Å, I = 55
2.799 Å, I = 100
2.726 Å, I = 56
2.644 Å, I = 92
2.530 Å, I = 67
2.523 Å, I = 68
2.356 Å, I = 33
1.625 Å, I = 30

=====

Repeat the second record exactly.
Ge3Sb2: computed X-ray diffraction stick pattern (Cu Kα (λ = 1.5418 Å)), based on a structure optimized by DFT (PBE).

Crystal structure
```
data_Ge3Sb2
_symmetry_space_group_name_H-M 'P 1'
_symmetry_Int_Tables_number 1
_symmetry_space_group_name_Hall 'P 1'
_cell_length_a 6.9254
_cell_length_b 6.9254
_cell_length_c 6.9254
_cell_angle_alpha 65.34
_cell_angle_beta 65.34
_cell_angle_gamma 65.34
loop_
_atom_site_label
_atom_site_fract_x
_atom_site_fract_y
_atom_site_fract_z
_atom_site_occupancy
Ge1 0.0086 0.2500 0.4914 1
Ge2 0.2500 0.4914 0.0086 1
Ge3 0.4914 0.0086 0.2500 1
Ge4 0.5086 0.9914 0.7500 1
Ge5 0.7500 0.5086 0.9914 1
Ge6 0.9914 0.7500 0.5086 1
Sb1 0.1100 0.1100 0.1100 1
Sb2 0.3900 0.3900 0.3900 1
Sb3 0.6100 0.6100 0.6100 1
Sb4 0.8900 0.8900 0.8900 1
```

The 10 most intense peaks (10° ≤ 2θ ≤ 80°), by angle:
3.738 Å, I = 79
3.441 Å, I = 42
3.076 Å, I = 64
2.708 Å, I = 47
2.532 Å, I = 82
2.420 Å, I = 40
2.158 Å, I = 49
2.096 Å, I = 100
1.938 Å, I = 28
1.413 Å, I = 33